# 1
Diffraction record for BiBr3. The powder X-ray diffraction pattern is computed, not measured: it uses a cell relaxed with GGA-PBE and λ = 1.5418 Å (Cu Kα).
Peak positions follow from Bragg's law for the DFT cell and can differ from measured ones.

Structure:
```
BiBr3
1.0
7.4335 0.0000 0.0000
0.0000 12.7387 0.0000
-2.5327 0.0000 7.0901
Bi Br
4 12
direct
0.0000 0.1690 0.0000 Bi
0.0000 0.8310 0.0000 Bi
0.5000 0.3310 0.0000 Bi
0.5000 0.6690 0.0000 Bi
0.2282 0.1839 0.7549 Br
0.2282 0.8161 0.7549 Br
0.2296 0.0000 0.2204 Br
0.2704 0.5000 0.7796 Br
0.2718 0.3161 0.2451 Br
0.2718 0.6839 0.2451 Br
0.7282 0.3161 0.7549 Br
0.7282 0.6839 0.7549 Br
0.7296 0.5000 0.2204 Br
0.7704 0.0000 0.7796 Br
0.7718 0.1839 0.2451 Br
0.7718 0.8161 0.2451 Br
```

Main lines, sorted by position (2θ from 10° to 90°):
2θ (°)	d/Å	I/Imax
12.48	7.090	95.9
14.44	6.135	39.6
16.08	5.513	29.7
24.52	3.631	38.2
29.20	3.058	55.9
29.53	3.025	100.0
41.81	2.161	37.7
42.23	2.140	35.8

***

# 2
Diffraction record for Mo2As3. The powder X-ray diffraction pattern is computed, not measured: it uses a cell relaxed with GGA-PBE and λ = 1.5418 Å (Cu Kα).
Peak positions follow from Bragg's law for the DFT cell and can differ from measured ones.

Structure:
```
Mo2As3
1.0
6.7487 -1.6327 0.0000
6.7487 1.6327 0.0000
-5.5120 0.0000 8.0107
Mo As
4 6
direct
0.1495 0.1495 0.3652 Mo
0.2520 0.2520 0.1283 Mo
0.7480 0.7480 0.8717 Mo
0.8505 0.8505 0.6348 Mo
0.0854 0.0854 0.8144 As
0.3727 0.3727 0.4530 As
0.3954 0.3954 0.8712 As
0.6046 0.6046 0.1288 As
0.6273 0.6273 0.5470 As
0.9146 0.9146 0.1856 As
```

Main lines, sorted by position (2θ from 10° to 90°):
2θ (°)	d/Å	I/Imax
32.23	2.777	39.1
33.38	2.685	57.4
35.05	2.560	77.1
38.17	2.358	40.1
40.75	2.214	40.2
43.48	2.081	100.0
50.42	1.810	62.1
56.35	1.633	34.2

***

# 3
Diffraction record for BaMg3. The powder X-ray diffraction pattern is computed, not measured: it uses a cell relaxed with GGA-PBE and λ = 1.5418 Å (Cu Kα).
Peak positions follow from Bragg's law for the DFT cell and can differ from measured ones.

Structure:
```
BaMg3
1.0
3.6757 0.0000 0.0000
0.0000 5.2603 0.0000
0.0000 0.0000 6.7954
Ba Mg
1 3
direct
0.0000 0.0000 0.0000 Ba
0.0000 0.5000 0.6169 Mg
0.5000 0.0000 0.4997 Mg
0.5000 0.5000 0.2461 Mg
```

Main lines, sorted by position (2θ from 10° to 90°):
2θ (°)	d/Å	I/Imax
13.03	6.795	48.3
16.85	5.260	41.1
21.36	4.160	66.9
27.59	3.233	48.1
31.34	2.854	55.3
32.51	2.754	100.0
34.09	2.630	28.9
50.41	1.810	32.8

***

# 4
Diffraction record for SmTiFe11C. The powder X-ray diffraction pattern is computed, not measured: it uses a cell relaxed with GGA-PBE and λ = 1.5418 Å (Cu Kα).
Peak positions follow from Bragg's law for the DFT cell and can differ from measured ones.

Structure:
```
SmTiFe11C
1.0
-2.4474 4.2859 4.2537
2.4474 -4.2859 4.2537
2.4474 4.2859 -4.2537
Sm Ti Fe C
1 1 11 1
direct
0.0000 0.0000 0.0000 Sm
0.6259 0.6259 0.0000 Ti
0.2110 0.4904 0.7205 Fe
0.2178 0.7178 0.5000 Fe
0.3499 0.3499 0.0000 Fe
0.3520 0.9927 0.3593 Fe
0.4915 0.4925 0.4978 Fe
0.4915 0.9937 0.9990 Fe
0.6334 0.9927 0.6407 Fe
0.7692 0.2692 0.5000 Fe
0.7699 0.4904 0.2795 Fe
0.9947 0.4925 0.0010 Fe
0.9947 0.9937 0.5022 Fe
0.9939 0.4939 0.5000 C
```

Main lines, sorted by position (2θ from 10° to 90°):
2θ (°)	d/Å	I/Imax
29.61	3.016	21.4
36.41	2.468	19.1
36.67	2.451	33.6
42.17	2.143	25.7
42.34	2.134	45.6
42.49	2.127	100.0
42.62	2.121	35.1
47.84	1.901	21.9

***

# 5
Diffraction record for CeSe. The powder X-ray diffraction pattern is computed, not measured: it uses a cell relaxed with GGA-PBE and λ = 1.5418 Å (Cu Kα).
Peak positions follow from Bragg's law for the DFT cell and can differ from measured ones.

Structure:
```
CeSe
1.0
5.9261 0.0000 0.0000
0.0000 5.9261 0.0000
0.0000 0.0000 5.9261
Ce Se
4 4
direct
0.0000 0.0000 0.0000 Ce
0.0000 0.5000 0.5000 Ce
0.5000 0.0000 0.5000 Ce
0.5000 0.5000 0.0000 Ce
0.0000 0.0000 0.5000 Se
0.0000 0.5000 0.0000 Se
0.5000 0.0000 0.0000 Se
0.5000 0.5000 0.5000 Se
```

Main lines, sorted by position (2θ from 10° to 90°):
2θ (°)	d/Å	I/Imax
26.04	3.421	14.0
30.16	2.963	100.0
43.18	2.095	74.3
51.12	1.787	6.9
53.57	1.711	26.2
62.71	1.482	12.2
71.15	1.325	33.4
79.18	1.210	24.9

***

# 6
Diffraction record for Sr2EuCu3Pb2O8. The powder X-ray diffraction pattern is computed, not measured: it uses a cell relaxed with GGA-PBE and λ = 1.5418 Å (Cu Kα).
Peak positions follow from Bragg's law for the DFT cell and can differ from measured ones.

Structure:
```
Sr2EuCu3Pb2O8
1.0
3.8436 0.0000 0.0000
0.0000 3.8436 0.0000
0.0000 0.0000 16.1227
Sr Eu Cu Pb O
2 1 3 2 8
direct
0.0000 0.0000 0.2222 Sr
0.0000 0.0000 0.7778 Sr
0.0000 0.0000 0.0000 Eu
0.0000 0.0000 0.5000 Cu
0.5000 0.5000 0.1089 Cu
0.5000 0.5000 0.8911 Cu
0.5000 0.5000 0.3881 Pb
0.5000 0.5000 0.6119 Pb
0.0000 0.0000 0.3847 O
0.0000 0.0000 0.6153 O
0.0000 0.5000 0.0975 O
0.0000 0.5000 0.9025 O
0.5000 0.0000 0.0975 O
0.5000 0.0000 0.9025 O
0.5000 0.5000 0.2529 O
0.5000 0.5000 0.7471 O
```

Main lines, sorted by position (2θ from 10° to 90°):
2θ (°)	d/Å	I/Imax
23.80	3.739	27.1
32.18	2.782	100.0
32.96	2.718	65.0
40.98	2.202	14.6
43.55	2.078	20.8
47.30	1.922	29.9
56.88	1.619	15.4
58.36	1.581	37.5

***

# 7
Diffraction record for Nd3Sc. The powder X-ray diffraction pattern is computed, not measured: it uses a cell relaxed with GGA-PBE and λ = 1.5418 Å (Cu Kα).
Peak positions follow from Bragg's law for the DFT cell and can differ from measured ones.

Structure:
```
Nd3Sc
1.0
7.2106 0.0000 0.0000
-3.6053 6.2446 0.0000
0.0000 0.0000 5.8189
Nd Sc
6 2
direct
0.1704 0.3409 0.2500 Nd
0.1704 0.8296 0.2500 Nd
0.3409 0.1704 0.7500 Nd
0.6591 0.8296 0.2500 Nd
0.8296 0.1704 0.7500 Nd
0.8296 0.6591 0.7500 Nd
0.3333 0.6667 0.7500 Sc
0.6667 0.3333 0.2500 Sc
```

Main lines, sorted by position (2θ from 10° to 90°):
2θ (°)	d/Å	I/Imax
28.59	3.122	23.4
30.73	2.909	26.0
32.55	2.751	100.0
42.47	2.129	15.9
50.64	1.803	18.9
55.80	1.648	21.3
60.41	1.532	22.1
61.50	1.508	15.6